Record 1
The following is a calculated powder XRD pattern of Pr3YEr3Se8. It was derived from a GGA-PBE-relaxed structure, using a wavelength of 1.5418 Å.
Intensities are scaled so that the largest is 100.

Structure:
Cell: 8.3287 8.3287 8.3287 Å, 59.11 59.11 59.11°
Positions (direct):
Pr (0.0000, 0.5000, 0.5000)
Pr (0.5000, 0.0000, 0.5000)
Pr (0.5000, 0.5000, 0.0000)
Y (0.5000, 0.5000, 0.5000)
Er (0.0000, 0.0000, 0.5000)
Er (0.0000, 0.5000, 0.0000)
Er (0.5000, 0.0000, 0.0000)
Se (0.2366, 0.7501, 0.7501)
Se (0.2435, 0.2435, 0.2435)
Se (0.2499, 0.2499, 0.7634)
Se (0.2499, 0.7634, 0.2499)
Se (0.7501, 0.2366, 0.7501)
Se (0.7501, 0.7501, 0.2366)
Se (0.7565, 0.7565, 0.7565)
Se (0.7634, 0.2499, 0.2499)

Most intense lines, 10 to 80 degrees two-theta, in order of rising 2θ:
two_theta  I/Imax
15.1  9
26.5  7
30.6  100
43.5  37
44.1  36
53.5  7
54.6  19
63.6  12
71.8  16
72.7  16

***

Record 2
The following is a calculated powder XRD pattern of Tb3Pm4Pd4. It was derived from a GGA-PBE-relaxed structure, using a wavelength of 1.5418 Å.
Intensities are scaled so that the largest is 100.

Structure:
Cell: 9.4635 9.4635 9.4635 Å, 156.42 119.46 65.90°
Positions (direct):
Tb (0.0000, 0.0000, 0.0000)
Tb (0.3893, 0.8893, 0.5000)
Tb (0.6107, 0.1107, 0.5000)
Pm (0.0277, 0.3413, 0.6864)
Pm (0.3452, 0.6587, 0.6864)
Pm (0.6548, 0.3413, 0.3136)
Pm (0.9723, 0.6587, 0.3136)
Pd (0.2438, 0.2438, 0.0000)
Pd (0.3456, 0.5000, 0.8456)
Pd (0.6544, 0.5000, 0.1544)
Pd (0.7562, 0.7562, 0.0000)

Most intense lines, 10 to 80 degrees two-theta, in order of rising 2θ:
two_theta  I/Imax
30.3  75
32.9  65
33.7  100
36.6  17
38.4  24
38.9  18
45.0  17
47.0  25
58.5  25
58.8  25